1.
The following is a simulated PXRD pattern of Sr3Li3Ni4Te4. It was derived from a cell relaxed with GGA-PBE, using Cu Kα.
Kinematic intensities with the Lorentz-polarization factor, no thermal factor.

Largest 12 diffraction maxima, sorted by position, 10° ≤ 2θ ≤ 90°:
(0 1 1), 2θ = 10.8°, d = 8.180 Å, intensity 43; (0 0 4), 2θ = 17.3°, d = 5.132 Å, intensity 67; (1 0 1), 2θ = 18.4°, d = 4.811 Å, intensity 77; (0 2 0), 2θ = 19.9°, d = 4.460 Å, intensity 61; (1 0 3), 2θ = 22.2°, d = 4.010 Å, intensity 96; (1 0 5), 2θ = 28.2°, d = 3.160 Å, intensity 60; (1 2 5), 2θ = 34.8°, d = 2.578 Å, intensity 100; (1 0 7), 2θ = 35.6°, d = 2.523 Å, intensity 27; (2 0 0), 2θ = 36.3°, d = 2.474 Å, intensity 60; (0 4 0), 2θ = 40.5°, d = 2.229 Å, intensity 54; (0 4 4), 2θ = 44.3°, d = 2.044 Å, intensity 27; (2 4 0), 2θ = 55.5°, d = 1.656 Å, intensity 40

Structural model:
```
data_Sr3Li3Ni4Te4
_symmetry_space_group_name_H-M 'I m m m'
_symmetry_Int_Tables_number 71
_symmetry_space_group_name_Hall '-I 2 2'
_cell_length_a 4.9485
_cell_length_b 8.9191
_cell_length_c 20.5273
_cell_angle_alpha 90.00
_cell_angle_beta 90.00
_cell_angle_gamma 90.00
loop_
_atom_site_label
_atom_site_fract_x
_atom_site_fract_y
_atom_site_fract_z
Sr1 0.0000 0.0000 0.0000
Sr2 0.0000 0.0000 0.2114
Li1 0.0000 0.0000 0.5000
Li2 0.0000 0.5000 0.0928
Ni1 0.0000 0.2614 0.3430
Te1 0.0000 0.0000 0.3672
Te2 0.0000 0.5000 0.3953
```


2.
The following is a simulated PXRD pattern of Y2Co3Si5. It was derived from a cell relaxed with GGA-PBE, using Cu Kα.
Kinematic intensities with the Lorentz-polarization factor, no thermal factor.

Largest 12 diffraction maxima, sorted by position, 10° ≤ 2θ ≤ 90°:
(1 3 0), 2θ = 25.3°, d = 3.524 Å, intensity 24; (0 4 0), 2θ = 31.4°, d = 2.849 Å, intensity 30; (2 0 -2), 2θ = 32.7°, d = 2.740 Å, intensity 28; (2 2 1), 2θ = 36.1°, d = 2.491 Å, intensity 73; (2 4 0), 2θ = 36.9°, d = 2.439 Å, intensity 72; (4 2 -1), 2θ = 37.0°, d = 2.429 Å, intensity 89; (0 0 2), 2θ = 37.4°, d = 2.407 Å, intensity 55; (4 0 -2), 2θ = 38.6°, d = 2.333 Å, intensity 29; (2 4 -2), 2θ = 45.9°, d = 1.975 Å, intensity 100; (2 6 1), 2θ = 59.0°, d = 1.567 Å, intensity 17; (0 2 3), 2θ = 59.9°, d = 1.545 Å, intensity 16; (4 0 -4), 2θ = 68.5°, d = 1.370 Å, intensity 17

Structural model:
```
data_Y2Co3Si5
_symmetry_space_group_name_H-M 'C 1 2/c 1'
_symmetry_Int_Tables_number 15
_cell_length_a 10.7384
_cell_length_b 11.3978
_cell_length_c 5.4845
_cell_angle_alpha 90.00
_cell_angle_beta 118.61
_cell_angle_gamma 90.00
loop_
_symmetry_equiv_pos_as_xyz
'x,y,z'
'-x,-y,-z'
'-x,y,-z+1/2'
'x,-y,z+1/2'
'x+1/2,y+1/2,z'
'-x+1/2,-y+1/2,-z'
'-x+1/2,y+1/2,-z+1/2'
'x+1/2,-y+1/2,z+1/2'
loop_
_atom_site_label
_atom_site_fract_x
_atom_site_fract_y
_atom_site_fract_z
Y1 0.2328 0.1372 0.2353
Co1 0.0000 0.4973 0.7500
Co2 0.0970 0.1387 0.6241
Si1 0.0000 0.0113 0.2500
Si2 0.0000 0.2739 0.2500
Si3 0.0000 0.2881 0.7500
Si4 0.1646 0.4018 0.1664
```


3.
The following is a simulated PXRD pattern of Ac2HgGe2. It was derived from a cell relaxed with GGA-PBE, using Cu Kα.
Kinematic intensities with the Lorentz-polarization factor, no thermal factor.

Largest 12 diffraction maxima, sorted by position, 10° ≤ 2θ ≤ 90°:
(2 1 0), 2θ = 24.7°, d = 3.612 Å, intensity 24; (2 0 2), 2θ = 29.7°, d = 3.006 Å, intensity 100; (2 2 0), 2θ = 31.3°, d = 2.855 Å, intensity 26; (2 1 2), 2θ = 31.8°, d = 2.817 Å, intensity 97; (3 1 0), 2θ = 35.1°, d = 2.554 Å, intensity 44; (0 0 4), 2θ = 40.0°, d = 2.251 Å, intensity 26; (4 1 0), 2θ = 46.4°, d = 1.959 Å, intensity 21; (4 1 2), 2θ = 50.8°, d = 1.796 Å, intensity 23; (3 3 2), 2θ = 52.2°, d = 1.753 Å, intensity 25; (3 1 4), 2θ = 54.3°, d = 1.689 Å, intensity 26; (5 1 2), 2θ = 62.1°, d = 1.494 Å, intensity 20; (5 3 0), 2θ = 67.6°, d = 1.386 Å, intensity 20

Structural model:
```
data_Ac2HgGe2
_symmetry_space_group_name_H-M 'P 4/m n c'
_symmetry_Int_Tables_number 128
_symmetry_space_group_name_Hall '-P 4 2n'
_cell_length_a 8.0758
_cell_length_b 8.0758
_cell_length_c 9.0060
_cell_angle_alpha 90.00
_cell_angle_beta 90.00
_cell_angle_gamma 90.00
loop_
_atom_site_label
_atom_site_fract_x
_atom_site_fract_y
_atom_site_fract_z
Ac1 0.1834 0.3167 0.0000
Hg1 0.0000 0.0000 0.2495
Ge1 0.1118 0.6118 0.2500
```


4.
The following is a simulated PXRD pattern of KRb3Cu2Bi2. It was derived from a cell relaxed with GGA-PBE, using Cu Kα.
Kinematic intensities with the Lorentz-polarization factor, no thermal factor.

Largest 12 diffraction maxima, sorted by position, 10° ≤ 2θ ≤ 90°:
(1 0 -1), 2θ = 15.7°, d = 5.638 Å, intensity 70; (0 1 1), 2θ = 18.8°, d = 4.732 Å, intensity 40; (1 1 0), 2θ = 18.9°, d = 4.693 Å, intensity 51; (1 0 1), 2θ = 22.4°, d = 3.977 Å, intensity 42; (0 2 0), 2θ = 26.0°, d = 3.421 Å, intensity 54; (1 1 -2), 2θ = 29.2°, d = 3.060 Å, intensity 99; (2 1 -1), 2θ = 29.5°, d = 3.028 Å, intensity 100; (1 2 1), 2θ = 34.6°, d = 2.593 Å, intensity 78; (0 2 2), 2θ = 38.0°, d = 2.366 Å, intensity 25; (1 3 -2), 2θ = 47.9°, d = 1.898 Å, intensity 39; (2 3 -1), 2θ = 48.1°, d = 1.890 Å, intensity 24; (0 4 0), 2θ = 53.6°, d = 1.711 Å, intensity 23

Structural model:
```
data_KRb3Cu2Bi2
_symmetry_space_group_name_H-M 'P 1 m 1'
_symmetry_Int_Tables_number 6
_cell_length_a 6.8459
_cell_length_b 6.8427
_cell_length_c 6.9553
_cell_angle_alpha 90.00
_cell_angle_beta 109.61
_cell_angle_gamma 90.00
loop_
_symmetry_equiv_pos_as_xyz
'x,y,z'
'x,-y,z'
loop_
_atom_site_label
_atom_site_fract_x
_atom_site_fract_y
_atom_site_fract_z
K1 0.0000 0.0000 0.0000
Rb1 0.3133 0.5000 0.9739
Rb2 0.6510 0.5000 0.6422
Rb3 0.6641 0.0000 0.3321
Cu1 0.1584 0.2478 0.4817
Bi1 0.4012 0.0000 0.7406
Bi2 0.9104 0.5000 0.2333
```


5.
The following is a simulated PXRD pattern of Hf2As2Os3. It was derived from a cell relaxed with GGA-PBE, using Cu Kα.
Kinematic intensities with the Lorentz-polarization factor, no thermal factor.

Largest 12 diffraction maxima, sorted by position, 10° ≤ 2θ ≤ 90°:
(0 0 3), 2θ = 12.3°, d = 7.183 Å, intensity 8; (1 0 1), 2θ = 23.8°, d = 3.746 Å, intensity 5; (0 1 2), 2θ = 24.8°, d = 3.588 Å, intensity 16; (0 1 5), 2θ = 31.4°, d = 2.852 Å, intensity 4; (1 0 7), 2θ = 37.6°, d = 2.393 Å, intensity 7; (1 1 0), 2θ = 41.1°, d = 2.197 Å, intensity 100; (2 0 2), 2θ = 48.6°, d = 1.874 Å, intensity 8; (2 0 8), 2θ = 59.5°, d = 1.554 Å, intensity 16; (1 2 8), 2θ = 74.8°, d = 1.269 Å, intensity 24; (3 0 0), 2θ = 74.9°, d = 1.268 Å, intensity 9; (0 2 16), 2θ = 89.1°, d = 1.099 Å, intensity 5; (2 2 0), 2θ = 89.2°, d = 1.098 Å, intensity 6

Structural model:
```
data_Hf2As2Os3
_symmetry_space_group_name_H-M 'R 3 m'
_symmetry_Int_Tables_number 160
_symmetry_space_group_name_Hall 'R 3 -2"'
_cell_length_a 4.3921
_cell_length_b 4.3921
_cell_length_c 21.5503
_cell_angle_alpha 90.00
_cell_angle_beta 90.00
_cell_angle_gamma 120.00
loop_
_atom_site_label
_atom_site_fract_x
_atom_site_fract_y
_atom_site_fract_z
Hf1 0.0000 0.0000 0.0000
Hf2 0.0000 0.0000 0.4883
As1 0.0000 0.0000 0.2360
As2 0.0000 0.0000 0.7491
Os1 0.0000 0.0000 0.3652
Os2 0.0000 0.0000 0.6155
Os3 0.0000 0.0000 0.8716
```